This entry pairs a crystal structure of K2TaVO6 with its calculated PXRD pattern. Radiation: Cu Kα (weighted mean of Kα1 and Kα2). Structure: a crystal structure in Alexandria, relaxed with GGA+U.
Neutral-atom scattering factors, no anomalous dispersion.

Crystal structure
a = 5.3647 Å, b = 5.3647 Å, c = 4.9532 Å
α = 90.00°, β = 90.00°, γ = 90.00°
Space group P4mm (No. 99)
One atom of each set of equivalent atoms:
K1 0.0000 0.5000 0.0000 (multiplicity 2)
Ta1 0.0000 0.0000 0.5015 (multiplicity 1)
V1 0.5000 0.5000 0.4992 (multiplicity 1)
O1 0.0000 0.0000 0.1349 (multiplicity 1)
O2 0.2565 0.2565 0.5841 (multiplicity 4)
O3 0.5000 0.5000 0.1624 (multiplicity 1)

Top 10 peaks for 2θ = 10–90°, sorted by position:
(hkl)  Position (°2θ)  Rel. int.
1 0 0  16.52  35
0 0 1  17.91  34
1 1 0  23.45  34
1 0 1  24.46  28
1 1 1  29.66  100
2 0 0  33.41  33
0 0 2  36.27  20
2 2 0  47.96  24
2 0 2  50.13  19
3 1 1  57.42  29